(1)
For HoS2, a GGA-PBE-relaxed structure gives the calculated X-ray diffraction stick pattern in this record (Cu Kα (λ = 1.5418 Å)).
Kinematic intensities with the Lorentz-polarization factor, no thermal factor.

Most intense lines, 5° ≤ 2θ ≤ 70°, in order of rising 2θ:
d = 3.971 Å, I 29
d = 3.458 Å, I 100
d = 2.716 Å, I 38
d = 2.242 Å, I 61
d = 2.180 Å, I 43
d = 1.921 Å, I 27
d = 1.679 Å, I 27
d = 1.441 Å, I 23

Lattice parameters (Å, degrees): 3.8412 3.8412 7.9421 90.00 90.00 90.00
Sites, in units of the cell vectors:
Ho  0.2500  0.2500  0.2263
Ho  0.7500  0.7500  0.7737
S  0.2500  0.2500  0.8686
S  0.2500  0.7500  0.5000
S  0.7500  0.2500  0.5000
S  0.7500  0.7500  0.1314

(2)
For Ho4S5, a GGA-PBE-relaxed structure gives the calculated X-ray diffraction stick pattern in this record (Cu Kα (λ = 1.5418 Å)).
Kinematic intensities with the Lorentz-polarization factor, no thermal factor.

Most intense lines, 5° ≤ 2θ ≤ 70°, in order of rising 2θ:
d = 4.063 Å, I 87
d = 3.435 Å, I 54
d = 3.275 Å, I 46
d = 2.759 Å, I 100
d = 2.623 Å, I 79
d = 2.550 Å, I 93
d = 2.282 Å, I 62
d = 2.155 Å, I 44

Lattice parameters (Å, degrees): 7.9105 7.9105 7.9105 154.00 118.19 68.21
Sites, in units of the cell vectors:
Ho  0.0813  0.8686  0.2127
Ho  0.3442  0.1314  0.2127
Ho  0.6558  0.8686  0.7873
Ho  0.9187  0.1314  0.7873
S  0.0000  0.5000  0.5000
S  0.2485  0.7485  0.5000
S  0.3545  0.5000  0.8545
S  0.6455  0.5000  0.1455
S  0.7515  0.2515  0.5000

(3)
For Ho4SbS3, a GGA-PBE-relaxed structure gives the calculated X-ray diffraction stick pattern in this record (Cu Kα (λ = 1.5418 Å)).
Kinematic intensities with the Lorentz-polarization factor, no thermal factor.

Most intense lines, 5° ≤ 2θ ≤ 70°, in order of rising 2θ:
d = 3.471 Å, I 11
d = 3.042 Å, I 100
d = 2.423 Å, I 47
d = 1.954 Å, I 33
d = 1.910 Å, I 19
d = 1.703 Å, I 9
d = 1.644 Å, I 17
d = 1.521 Å, I 11

Lattice parameters (Å, degrees): 3.9076 3.9076 13.8824 90.00 90.00 120.00
Sites, in units of the cell vectors:
Ho  0.3333  0.6667  0.3548
Ho  0.3333  0.6667  0.8784
Ho  0.6667  0.3333  0.1216
Ho  0.6667  0.3333  0.6452
Sb  0.0000  0.0000  0.5000
S  0.0000  0.0000  0.0000
S  0.0000  0.0000  0.2370
S  0.0000  0.0000  0.7630